No. 1
For La5Ho6Er2, a cell relaxed with PBE gives the calculated X-ray diffraction stick pattern in this record (Cu Kα).

Largest 10 diffraction maxima, sorted by position, 15 to 90 degrees two-theta:
two_theta, I/Imax
26.9, 15
31.0, 59
31.1, 100
31.8, 84
33.9, 43
34.7, 16
36.3, 42
50.4, 19
60.3, 22
60.4, 16

Structural model:
```
data_La5Ho6Er2
_chemical_formula_sum 'La10 Ho12 Er4'
_space_group_name_H-M_alt 'P 1'
_space_group_IT_number 1
_cell_length_a 11.662
_cell_length_b 20.733
_cell_length_c 3.623
_cell_angle_alpha 90.00
_cell_angle_beta 90.00
_cell_angle_gamma 90.00
loop_
_space_group_symop_operation_xyz
'x,y,z'
loop_
_atom_site_label
_atom_site_type_symbol
_atom_site_fract_x
_atom_site_fract_y
_atom_site_fract_z
La1 La 0.000 0.000 0.000
La2 La 0.078 0.271 0.000
La3 La 0.199 0.549 0.000
La4 La 0.301 0.049 0.000
La5 La 0.422 0.771 0.000
La6 La 0.500 0.500 0.000
La7 La 0.578 0.229 0.000
La8 La 0.699 0.951 0.000
La9 La 0.801 0.451 0.000
La10 La 0.922 0.729 0.000
Ho1 Ho 0.063 0.418 0.500
Ho2 Ho 0.079 0.131 0.500
Ho3 Ho 0.176 0.859 0.000
Ho4 Ho 0.324 0.359 0.000
Ho5 Ho 0.421 0.631 0.500
Ho6 Ho 0.437 0.918 0.500
Ho7 Ho 0.563 0.082 0.500
Ho8 Ho 0.579 0.369 0.500
Ho9 Ho 0.676 0.641 0.000
Ho10 Ho 0.824 0.141 0.000
Ho11 Ho 0.921 0.869 0.500
Ho12 Ho 0.937 0.582 0.500
Er1 Er 0.175 0.710 0.500
Er2 Er 0.325 0.210 0.500
Er3 Er 0.675 0.790 0.500
Er4 Er 0.825 0.290 0.500
```

---

No. 2
For Sm2ZnGa5, a cell relaxed with PBE gives the calculated X-ray diffraction stick pattern in this record (Cu Kα).

Largest 10 diffraction maxima, sorted by position, 15 to 90 degrees two-theta:
two_theta, I/Imax
20.6, 9
29.2, 14
36.0, 100
41.6, 15
41.8, 34
60.5, 18
60.7, 11
72.3, 9
72.6, 23
76.3, 9

Structural model:
```
data_Sm2ZnGa5
_chemical_formula_sum 'Sm2 Zn1 Ga5'
_space_group_name_H-M_alt 'P 1'
_space_group_IT_number 1
_cell_length_a 6.122
_cell_length_b 6.122
_cell_length_c 6.122
_cell_angle_alpha 120.18
_cell_angle_beta 120.18
_cell_angle_gamma 89.69
loop_
_space_group_symop_operation_xyz
'x,y,z'
loop_
_atom_site_label
_atom_site_type_symbol
_atom_site_fract_x
_atom_site_fract_y
_atom_site_fract_z
Sm1 Sm 0.000 0.500 0.500
Sm2 Sm 0.500 0.000 0.500
Zn1 Zn 0.050 0.050 0.000
Ga1 Ga 0.472 0.472 0.000
Ga2 Ga 0.514 0.514 0.529
Ga3 Ga 0.514 0.985 0.000
Ga4 Ga 0.985 0.514 0.000
Ga5 Ga 0.985 0.985 0.471
```

---

No. 3
For Bi4Te3N2, a cell relaxed with PBE gives the calculated X-ray diffraction stick pattern in this record (Cu Kα).

Largest 10 diffraction maxima, sorted by position, 15 to 90 degrees two-theta:
two_theta, I/Imax
23.2, 39
24.7, 25
26.8, 42
27.1, 43
29.5, 100
34.9, 55
35.6, 35
35.9, 51
43.8, 28
53.9, 25

Structural model:
```
data_Bi4Te3N2
_chemical_formula_sum 'Bi8 Te6 N4'
_space_group_name_H-M_alt 'P 1'
_space_group_IT_number 1
_cell_length_a 7.664
_cell_length_b 16.379
_cell_length_c 4.133
_cell_angle_alpha 90.00
_cell_angle_beta 90.00
_cell_angle_gamma 90.00
loop_
_space_group_symop_operation_xyz
'x,y,z'
loop_
_atom_site_label
_atom_site_type_symbol
_atom_site_fract_x
_atom_site_fract_y
_atom_site_fract_z
Bi1 Bi 0.193 0.061 0.000
Bi2 Bi 0.204 0.857 0.500
Bi3 Bi 0.296 0.357 0.000
Bi4 Bi 0.307 0.561 0.500
Bi5 Bi 0.693 0.439 0.500
Bi6 Bi 0.704 0.643 0.000
Bi7 Bi 0.796 0.143 0.500
Bi8 Bi 0.807 0.939 0.000
Te1 Te 0.000 0.500 0.000
Te2 Te 0.162 0.217 0.500
Te3 Te 0.338 0.717 0.000
Te4 Te 0.500 0.000 0.500
Te5 Te 0.662 0.283 0.000
Te6 Te 0.838 0.783 0.500
N1 N 0.109 0.926 0.000
N2 N 0.391 0.426 0.500
N3 N 0.609 0.574 0.500
N4 N 0.891 0.074 0.000
```

---

No. 4
For PrDy2Y4, a cell relaxed with PBE gives the calculated X-ray diffraction stick pattern in this record (Cu Kα).

Largest 10 diffraction maxima, sorted by position, 15 to 90 degrees two-theta:
two_theta, I/Imax
28.6, 52
29.5, 36
30.9, 63
31.4, 26
31.4, 26
31.8, 100
32.0, 25
32.2, 34
34.0, 50
37.6, 45

Structural model:
```
data_PrDy2Y4
_chemical_formula_sum 'Pr2 Dy4 Y8'
_space_group_name_H-M_alt 'P 1'
_space_group_IT_number 1
_cell_length_a 6.437
_cell_length_b 8.604
_cell_length_c 9.608
_cell_angle_alpha 79.52
_cell_angle_beta 70.44
_cell_angle_gamma 68.06
loop_
_space_group_symop_operation_xyz
'x,y,z'
loop_
_atom_site_label
_atom_site_type_symbol
_atom_site_fract_x
_atom_site_fract_y
_atom_site_fract_z
Pr1 Pr 0.000 0.000 0.000
Pr2 Pr 0.380 0.166 0.075
Dy1 Dy 0.062 0.583 0.037
Dy2 Dy 0.618 0.504 0.497
Dy3 Dy 0.936 0.083 0.538
Dy4 Dy 0.998 0.662 0.579
Y1 Y 0.222 0.349 0.371
Y2 Y 0.311 0.245 0.718
Y3 Y 0.323 0.816 0.703
Y4 Y 0.337 0.744 0.228
Y5 Y 0.654 0.920 0.356
Y6 Y 0.670 0.846 0.871
Y7 Y 0.688 0.422 0.848
Y8 Y 0.766 0.320 0.204
```

---

No. 5
For Mn2Zn12Ni, a cell relaxed with PBE gives the calculated X-ray diffraction stick pattern in this record (Cu Kα).

Largest 10 diffraction maxima, sorted by position, 15 to 90 degrees two-theta:
two_theta, I/Imax
34.4, 18
38.0, 26
40.7, 54
42.4, 100
42.8, 53
43.8, 42
48.6, 31
57.8, 14
78.1, 15
85.0, 24

Structural model:
```
data_Mn2Zn12Ni
_chemical_formula_sum 'Mn2 Zn12 Ni1'
_space_group_name_H-M_alt 'P 1'
_space_group_IT_number 1
_cell_length_a 2.703
_cell_length_b 4.226
_cell_length_c 19.746
_cell_angle_alpha 90.00
_cell_angle_beta 90.00
_cell_angle_gamma 90.00
loop_
_space_group_symop_operation_xyz
'x,y,z'
loop_
_atom_site_label
_atom_site_type_symbol
_atom_site_fract_x
_atom_site_fract_y
_atom_site_fract_z
Mn1 Mn 0.000 0.000 0.248
Mn2 Mn 0.000 0.000 0.752
Zn1 Zn 0.000 0.500 0.065
Zn2 Zn 0.000 0.500 0.436
Zn3 Zn 0.000 0.500 0.564
Zn4 Zn 0.000 0.500 0.935
Zn5 Zn 0.500 0.000 0.113
Zn6 Zn 0.500 0.000 0.384
Zn7 Zn 0.500 0.000 0.616
Zn8 Zn 0.500 0.000 0.887
Zn9 Zn 0.500 0.500 0.188
Zn10 Zn 0.500 0.500 0.311
Zn11 Zn 0.500 0.500 0.689
Zn12 Zn 0.500 0.500 0.812
Ni1 Ni 0.000 0.000 0.000
```